# Ac2La3Ir3
Computed powder XRD pattern, Cu Kα (weighted mean of Kα1 and Kα2). Input: DFT lattice parameters and positions (GGA-PBE).
Kinematic intensities with the Lorentz-polarization factor, no thermal factor.

Principal peaks in the range 10° ≤ 2θ ≤ 90°, in order of rising 2θ:
d = 6.790 Å, I = 45, hkl 2 0 0
d = 5.401 Å, I = 58, hkl 1 1 0
d = 3.923 Å, I = 30, hkl 2 0 -3
d = 3.829 Å, I = 38, hkl 2 0 3
d = 2.944 Å, I = 100, hkl 0 2 0
d = 2.790 Å, I = 36, hkl 4 0 -3
d = 2.722 Å, I = 33, hkl 4 0 3
d = 2.358 Å, I = 41, hkl 0 0 6

Crystal structure
Unit cell a=13.585 b=5.887 c=14.164 alpha=90.00 beta=91.48 gamma=90.00
Space group Cm (No. 8)
Inequivalent atoms, fractional coordinates:
Ac: 0.000 0.000 0.000
Ac: 0.013 0.000 0.362
Ac: 0.133 0.500 0.556
Ac: 0.336 0.000 0.860
La: 0.112 0.500 0.818
La: 0.225 0.500 0.049
La: 0.231 0.500 0.314
La: 0.357 0.000 0.494
La: 0.422 0.000 0.182
La: 0.425 0.500 0.682
Ir: 0.024 0.500 0.996
Ir: 0.033 0.500 0.369
Ir: 0.312 0.500 0.867
Ir: 0.334 0.500 0.491
Ir: 0.382 0.500 0.181
Ir: 0.460 0.000 0.680